# 1
Structure and computed powder diffractogram of KW6O18 (a structure optimized by DFT (GGA+U); Cu Kα (λ = 1.5418 Å)).
Intensities are scaled so that the largest is 100.

Cell and atoms:
Cell lengths 7.517, 7.517, 7.729 Å; angles 90.00, 90.00, 120.00 degrees
Element x y z (fractional)
K 0.000 0.000 0.000
W 0.000 0.500 0.251
W 0.000 0.500 0.749
W 0.500 0.000 0.251
W 0.500 0.000 0.749
W 0.500 0.500 0.251
W 0.500 0.500 0.749
O 0.000 0.500 0.000
O 0.000 0.500 0.500
O 0.212 0.424 0.248
O 0.212 0.424 0.752
O 0.212 0.788 0.248
O 0.212 0.788 0.752
O 0.424 0.212 0.248
O 0.424 0.212 0.752
O 0.500 0.000 0.000
O 0.500 0.000 0.500
O 0.500 0.500 0.000
O 0.500 0.500 0.500
O 0.576 0.788 0.248
O 0.576 0.788 0.752
O 0.788 0.212 0.248
O 0.788 0.212 0.752
O 0.788 0.576 0.248
O 0.788 0.576 0.752

Largest 10 diffraction maxima, low angle first, 2θ from 10° to 90°:
13.60°, intensity 58; 23.01°, intensity 52; 26.83°, intensity 25; 27.40°, intensity 100; 36.08°, intensity 56; 48.44°, intensity 26; 54.28°, intensity 24; 55.29°, intensity 29; 61.86°, intensity 16; 69.81°, intensity 17

***

# 2
Structure and computed powder diffractogram of Ba6Na2Nb2V2O17 (a structure optimized by DFT (GGA+U); Cu Kα (λ = 1.5418 Å)).
Intensities are scaled so that the largest is 100.

Cell and atoms:
Cell lengths 6.007, 6.007, 30.487 Å; angles 90.00, 90.00, 120.00 degrees
Element x y z (fractional)
Ba 0.000 0.000 0.000
Ba 0.000 0.000 0.250
Ba 0.000 0.000 0.500
Ba 0.000 0.000 0.750
Ba 0.333 0.667 0.090
Ba 0.333 0.667 0.410
Ba 0.333 0.667 0.681
Ba 0.333 0.667 0.819
Ba 0.667 0.333 0.181
Ba 0.667 0.333 0.319
Ba 0.667 0.333 0.590
Ba 0.667 0.333 0.910
Na 0.000 0.000 0.124
Na 0.000 0.000 0.376
Na 0.000 0.000 0.624
Na 0.000 0.000 0.876
Nb 0.333 0.667 0.201
Nb 0.333 0.667 0.299
Nb 0.667 0.333 0.701
Nb 0.667 0.333 0.799
V 0.333 0.667 0.552
V 0.333 0.667 0.948
V 0.667 0.333 0.052
V 0.667 0.333 0.448
O 0.029 0.514 0.250
O 0.175 0.350 0.170
O 0.175 0.350 0.330
O 0.175 0.825 0.170
O 0.175 0.825 0.330
O 0.176 0.352 0.572
O 0.176 0.352 0.928
O 0.176 0.824 0.572
O 0.176 0.824 0.928
O 0.333 0.667 0.004
O 0.333 0.667 0.496
O 0.350 0.175 0.670
O 0.350 0.175 0.830
O 0.352 0.176 0.072
O 0.352 0.176 0.428
O 0.486 0.514 0.250
O 0.486 0.971 0.250
O 0.514 0.029 0.750
O 0.514 0.486 0.750
O 0.648 0.824 0.572
O 0.648 0.824 0.928
O 0.650 0.825 0.170
O 0.650 0.825 0.330
O 0.667 0.333 0.504
O 0.667 0.333 0.996
O 0.824 0.176 0.072
O 0.824 0.176 0.428
O 0.824 0.648 0.072
O 0.824 0.648 0.428
O 0.825 0.175 0.670
O 0.825 0.175 0.830
O 0.825 0.650 0.670
O 0.825 0.650 0.830
O 0.971 0.486 0.750

Largest 10 diffraction maxima, low angle first, 2θ from 10° to 90°:
20.67°, intensity 22; 26.70°, intensity 26; 29.05°, intensity 50; 29.75°, intensity 100; 40.39°, intensity 15; 42.06°, intensity 30; 42.24°, intensity 14; 52.36°, intensity 18; 52.80°, intensity 19; 61.78°, intensity 19